Calculated PXRD pattern
Compound: Na16In12Ag
Radiation: CuKα
Structure: a structure optimized by DFT (PBE)
Intensities are scaled so that the largest is 100.

Main lines, low angle first (10° ≤ 2θ ≤ 90°):
two_theta, I/Imax
18.3, 55
18.5, 100
18.7, 37
32.2, 41
32.3, 29
32.4, 50
32.5, 41
35.5, 38
36.0, 57
39.2, 34

Crystal structure
Lattice parameters (Å, degrees): 10.1441 10.1441 10.0776 109.05 109.05 109.33
Fractional positions:
Na (0.0000, 0.0000, 0.0000)
Na (0.0032, 0.0032, 0.3573)
Na (0.0027, 0.3564, 0.9998)
Na (0.0049, 0.5938, 0.3195)
Na (0.2891, 0.6796, 0.6966)
Na (0.3137, 0.9949, 0.5915)
Na (0.3240, 0.5791, 0.9867)
Na (0.3564, 0.0027, 0.9998)
Na (0.4169, 0.7205, 0.4133)
Na (0.5791, 0.3240, 0.9867)
Na (0.5938, 0.0049, 0.3195)
Na (0.6218, 0.6218, 0.6649)
Na (0.6796, 0.2891, 0.6966)
Na (0.6926, 0.6926, 0.2894)
Na (0.7205, 0.4169, 0.4133)
Na (0.9949, 0.3137, 0.5915)
In (0.0023, 0.8161, 0.6369)
In (0.0030, 0.6324, 0.8207)
In (0.1824, 0.3705, 0.3712)
In (0.1859, 0.1859, 0.8128)
In (0.1964, 0.8156, 0.1881)
In (0.3685, 0.3685, 0.1849)
In (0.3705, 0.1824, 0.3712)
In (0.6324, 0.0030, 0.8207)
In (0.6427, 0.8264, 0.0163)
In (0.8161, 0.0023, 0.6369)
In (0.8156, 0.1964, 0.1881)
In (0.8264, 0.6427, 0.0163)
Ag (0.3266, 0.3266, 0.6493)

Calculated PXRD pattern
Compound: SrSiAg2
Radiation: CuKα
Structure: a structure optimized by DFT (PBE)
Intensities are scaled so that the largest is 100.

Main lines, low angle first (10° ≤ 2θ ≤ 90°):
two_theta, I/Imax
16.5, 38
23.2, 31
25.1, 17
31.7, 100
35.9, 31
39.5, 89
43.1, 18
51.5, 16
52.6, 16
66.8, 22

Crystal structure
Lattice parameters (Å, degrees): 4.5601 4.5601 6.0005 112.43 112.43 60.04
Fractional positions:
Sr (0.0000, 0.0000, 0.0000)
Si (0.2012, 0.2012, 0.6044)
Ag (0.5267, 0.5267, 0.5811)
Ag (0.8005, 0.8005, 0.4022)

Calculated PXRD pattern
Compound: Ag14BiPd
Radiation: CuKα
Structure: a structure optimized by DFT (PBE)
Intensities are scaled so that the largest is 100.

Main lines, low angle first (10° ≤ 2θ ≤ 90°):
two_theta, I/Imax
35.6, 24
36.6, 59
36.9, 64
39.2, 70
40.1, 100
45.3, 32
62.2, 25
68.6, 18
74.6, 29
77.8, 18

Crystal structure
Lattice parameters (Å, degrees): 9.7548 5.9697 5.9697 58.20 90.00 90.00
Fractional positions:
Ag (0.0000, 0.0000, 0.0000)
Ag (0.0000, 0.0003, 0.4985)
Ag (0.0000, 0.4970, 0.4970)
Ag (0.0000, 0.4985, 0.0003)
Ag (0.2409, 0.8402, 0.8402)
Ag (0.2431, 0.3325, 0.8387)
Ag (0.2431, 0.8387, 0.3325)
Ag (0.2521, 0.3351, 0.3351)
Ag (0.5000, 0.1767, 0.6790)
Ag (0.5000, 0.6790, 0.1767)
Ag (0.7479, 0.3351, 0.3351)
Ag (0.7569, 0.3325, 0.8387)
Ag (0.7569, 0.8387, 0.3325)
Ag (0.7591, 0.8402, 0.8402)
Bi (0.5000, 0.6788, 0.6788)
Pd (0.5000, 0.1759, 0.1759)

Calculated PXRD pattern
Compound: KB2Pt2
Radiation: CuKα
Structure: a structure optimized by DFT (PBE)
Intensities are scaled so that the largest is 100.

Main lines, low angle first (10° ≤ 2θ ≤ 90°):
two_theta, I/Imax
18.9, 100
30.7, 85
31.6, 22
34.0, 87
34.2, 23
35.8, 38
40.1, 47
49.0, 41
50.4, 19
52.3, 19

Crystal structure
Lattice parameters (Å, degrees): 7.2510 6.0852 5.8928 74.49 53.96 51.54
Fractional positions:
K (0.1250, 0.1250, 0.1250)
K (0.8750, 0.8750, 0.8750)
B (0.2083, 0.5417, 0.2083)
B (0.4583, 0.7917, 0.4583)
B (0.5417, 0.2083, 0.5417)
B (0.7917, 0.4583, 0.7917)
Pt (0.2373, 0.2373, 0.5127)
Pt (0.4873, 0.4873, 0.7627)
Pt (0.5127, 0.5127, 0.2373)
Pt (0.7627, 0.7627, 0.4873)

Calculated PXRD pattern
Compound: Hf2Ti4In5
Radiation: CuKα
Structure: a structure optimized by DFT (PBE)
Intensities are scaled so that the largest is 100.

Main lines, low angle first (10° ≤ 2θ ≤ 90°):
two_theta, I/Imax
26.2, 87
27.6, 55
32.8, 58
34.9, 33
35.5, 26
36.2, 81
36.9, 100
38.5, 54
40.0, 84
53.9, 38

Crystal structure
Lattice parameters (Å, degrees): 7.1092 7.1092 7.1092 133.65 106.48 91.50
Fractional positions:
Hf (0.2353, 0.2353, 0.0000)
Hf (0.7647, 0.7647, 0.0000)
Ti (0.0706, 0.7429, 0.3277)
Ti (0.4152, 0.7429, 0.6723)
Ti (0.5848, 0.2571, 0.3277)
Ti (0.9294, 0.2571, 0.6723)
In (0.0000, 0.5000, 0.5000)
In (0.3133, 0.2480, 0.5613)
In (0.3133, 0.7520, 0.0653)
In (0.6867, 0.2480, 0.9347)
In (0.6867, 0.7520, 0.4387)